The following is a calculated powder diffractogram of VH6C2ClO3. It was derived from a structure optimized by DFT (GGA+U), using λ = 1.5418 Å (Cu Kα).
No peak broadening, texture or thermal motion is included.

Cell and atoms:
Cell: 6.3631 6.4692 8.7634 Å, 85.74 77.78 84.12°
Space group P-1 (No. 2)
Asymmetric unit:
1 V 0.0262 0.0095 0.1987
2 H 0.2634 0.4013 0.9404
3 H 0.2634 0.6154 0.6160
4 H 0.3282 0.8455 0.4951
5 H 0.4218 0.2345 0.0548
6 H 0.4341 0.1847 0.8536
7 H 0.4856 0.2746 0.3890
8 C 0.3292 0.2404 0.9618
9 C 0.3430 0.7604 0.6062
10 Cl 0.0824 0.6675 0.2477
11 O 0.1555 0.1099 0.0054
12 O 0.1610 0.1035 0.3099
13 O 0.2453 0.8860 0.7343

Top 8 peaks for 2θ = 10–80°, by intensity:
hkl 1 0 0, 14.30 deg, I 100
hkl 0 1 0, 13.78 deg, I 87
hkl 0 0 2, 20.78 deg, I 41
hkl 1 0 2, 22.71 deg, I 33
hkl 0 0 1, 10.34 deg, I 25
hkl 1 1 0, 19.00 deg, I 23
hkl 1 1 3, 33.47 deg, I 20
hkl -1 1 1, 24.25 deg, I 20